Starting from the PBE+U geometry in Alexandria, the PXRD pattern of Mg6VCO8 was computed for Cu Kα X-rays.

Peak list (12 most intense, 2θ = 10–90°, by angle)
d_spacing, Position (°2θ), Rel. int.
3.789, 23.5, 18
2.809, 31.9, 10
2.467, 36.4, 20
2.235, 40.4, 60
2.092, 43.2, 100
1.831, 49.8, 5
1.530, 60.5, 4
1.527, 60.6, 59
1.479, 62.8, 27
1.331, 70.8, 4
1.269, 74.8, 8
1.234, 77.4, 26

Crystal structure
```
Mg6VCO8
1.0
4.184 0.000 0.000
0.000 4.184 0.000
0.000 0.000 8.939
Mg V C O
6 1 1 8
Direct
0.000 0.000 0.000
0.000 0.000 0.500
0.000 0.500 0.240
0.000 0.500 0.760
0.500 0.000 0.240
0.500 0.000 0.760
0.500 0.500 0.500
0.500 0.500 0.000
0.000 0.000 0.246
0.000 0.000 0.754
0.000 0.500 0.000
0.000 0.500 0.500
0.500 0.000 0.000
0.500 0.000 0.500
0.500 0.500 0.272
0.500 0.500 0.728
```


Starting from the PBE+U geometry in Alexandria, the PXRD pattern of Na3Tl3FeO8 was computed for Cu Kα X-rays.

Peak list (12 most intense, 2θ = 10–90°, by angle)
d_spacing, Position (°2θ), Rel. int.
5.582, 15.9, 100
2.878, 31.1, 19
2.828, 31.6, 32
2.791, 32.1, 18
2.729, 32.8, 50
2.414, 37.2, 23
2.358, 38.2, 43
2.193, 41.2, 15
1.829, 49.9, 12
1.701, 53.9, 15
1.673, 54.9, 14
1.423, 65.6, 11

Crystal structure
```
Na3Tl3FeO8
1.0
5.823 -3.305 0.000
5.823 3.305 0.000
-3.762 0.000 5.582
Na Tl Fe O
3 3 1 8
Direct
0.000 0.000 0.000
0.000 0.500 0.000
0.500 0.000 0.000
0.000 0.500 0.500
0.500 0.000 0.500
0.500 0.500 0.500
0.000 0.000 0.500
0.208 0.789 0.701
0.211 0.792 0.299
0.226 0.226 0.704
0.263 0.263 0.276
0.737 0.737 0.724
0.774 0.774 0.296
0.789 0.208 0.701
0.792 0.211 0.299
```